1.
Y3GeO7: theoretical X-ray diffraction stick pattern (Cu Ka), based on DFT lattice parameters and positions (PBE).
No peak broadening, texture or thermal motion is included.

Main lines, in order of falling intensity (2θ = 10–90°):
2theta	intensity
29.51	100
29.65	96
49.25	60
34.29	48
58.45	42
58.69	27
49.51	19
49.13	13

Atomic structure:
```
Y3GeO7
1.0
3.7091 -5.2389 0.0000
3.7091 5.2389 0.0000
0.0000 0.0000 7.3646
Y Ge O
6 2 14
Cartesian
0.1939 0.0000 0.0000 Y
1.9785 2.4099 1.8741 Y
1.9785 -2.4099 5.4905 Y
5.4397 2.4099 1.8082 Y
5.4397 -2.4099 5.5564 Y
7.2242 0.0000 3.6823 Y
3.6854 0.0000 0.0000 Ge
3.7327 0.0000 3.6823 Ge
3.7091 3.8766 5.5234 O
3.7091 3.8210 1.8411 O
2.2529 1.2738 7.1706 O
2.3362 1.2804 3.9298 O
2.2529 -1.2738 0.1940 O
3.7091 0.6777 1.8411 O
2.3362 -1.2804 3.4348 O
5.0820 1.2804 7.1171 O
3.7091 -0.6777 5.5234 O
5.1652 1.2738 3.8763 O
5.0820 -1.2804 0.2475 O
5.1652 -1.2738 3.4883 O
3.7091 -3.8210 5.5234 O
3.7091 -3.8766 1.8411 O
```

2.
Li5Ca2Mg2Cd: theoretical X-ray diffraction stick pattern (Cu Ka), based on DFT lattice parameters and positions (PBE).
No peak broadening, texture or thermal motion is included.

Main lines, in order of falling intensity (2θ = 10–90°):
2theta	intensity
34.37	100
24.29	95
10.80	52
23.94	45
21.69	41
32.53	34
42.53	25
15.29	25

Atomic structure:
```
Li5Ca2Mg2Cd
1.0
11.5894 0.0000 0.0000
0.0000 11.5894 0.0000
0.0000 0.0000 3.7164
Li Ca Mg Cd
10 4 4 2
Cartesian
0.0000 5.7947 0.0000 Li
0.6401 2.1179 0.0000 Li
2.1179 10.9494 0.0000 Li
3.6768 5.1546 0.0000 Li
5.1546 7.9127 0.0000 Li
5.7947 0.0000 0.0000 Li
6.4348 3.6768 0.0000 Li
7.9127 6.4348 0.0000 Li
9.4715 0.6401 0.0000 Li
10.9494 9.4715 0.0000 Li
2.0023 7.7970 1.8582 Ca
3.7924 2.0023 1.8582 Ca
7.7970 9.5871 1.8582 Ca
9.5871 3.7924 1.8582 Ca
1.4576 4.3371 1.8582 Mg
4.3371 10.1318 1.8582 Mg
7.2523 1.4576 1.8582 Mg
10.1318 7.2523 1.8582 Mg
0.0000 0.0000 1.8582 Cd
5.7947 5.7947 1.8582 Cd
```

3.
CsYGe: theoretical X-ray diffraction stick pattern (Cu Ka), based on DFT lattice parameters and positions (PBE).
No peak broadening, texture or thermal motion is included.

Main lines, in order of falling intensity (2θ = 10–90°):
2theta	intensity
24.51	100
26.34	65
33.19	54
33.46	53
23.80	47
20.78	46
23.62	45
31.69	44

Atomic structure:
```
CsYGe
1.0
5.4807 0.0000 0.0000
1.1621 5.4014 0.0000
0.3793 0.3674 10.1526
Cs Y Ge
2 2 2
Cartesian
0.0000 0.0000 0.0000 Cs
3.3001 2.6892 3.7298 Cs
3.7557 3.0906 7.6781 Y
6.5577 5.3549 6.2039 Y
0.9980 2.5704 6.8988 Ge
2.6728 0.4727 6.9817 Ge
```

4.
CaPH5O6: theoretical X-ray diffraction stick pattern (Cu Ka), based on DFT lattice parameters and positions (PBE).
No peak broadening, texture or thermal motion is included.

Main lines, in order of falling intensity (2θ = 10–90°):
2theta	intensity
11.68	100
20.92	96
29.31	79
30.23	51
34.10	49
41.65	41
33.87	39
48.51	18

Atomic structure:
```
CaPH5O6
1.0
3.2177 -7.5785 0.0000
3.2177 7.5785 0.0000
-2.8911 0.0000 5.1277
Ca P H O
2 2 10 12
Cartesian
1.7722 4.9859 2.5639 Ca
3.2177 -4.9859 0.0000 Ca
3.2973 2.6949 0.0760 P
1.8517 -2.6949 2.6399 P
-0.3851 2.6176 3.1459 H
-0.6174 0.1954 3.8063 H
0.8282 -0.1954 1.2424 H
1.4294 1.0099 2.0383 H
1.0604 -2.6176 0.5821 H
-0.0162 -1.0099 4.6022 H
3.5030 1.3166 2.3754 H
2.9560 0.1178 3.2743 H
4.4016 -0.1178 0.7105 H
2.0575 -1.3166 4.9392 H
-0.3653 1.9999 3.9565 O
0.7832 0.7852 1.3292 O
2.1955 3.3237 0.9331 O
-0.6624 -0.7852 3.8931 O
1.3802 3.7570 4.6174 O
1.0803 -1.9999 1.3927 O
4.1240 1.6128 0.7819 O
0.7499 -3.3237 3.4970 O
3.0108 1.1108 3.2220 O
2.6785 -1.6128 3.3458 O
4.4564 -1.1108 0.6581 O
2.8257 -3.7570 2.0535 O
```